Record 1
Gd2TiO5: theoretical powder diffractogram (Cu Kα (λ = 1.5418 Å)), based on a crystal structure in Alexandria, relaxed with PBE.

Atomic structure:
```
data_Gd2TiO5
_chemical_formula_sum 'Gd8 Ti4 O20'
_symmetry_space_group_name_H-M 'P n m a'
_symmetry_Int_Tables_number 62
_cell_length_a 7.633
_cell_length_b 3.655
_cell_length_c 15.768
_cell_angle_alpha 90.00
_cell_angle_beta 90.00
_cell_angle_gamma 90.00
loop_
_symmetry_equiv_pos_as_xyz
'x,y,z'
'-x,-y,-z'
'-x+1/2,-y,z+1/2'
'x+1/2,y,-z+1/2'
'x+1/2,-y+1/2,-z+1/2'
'-x+1/2,y+1/2,z+1/2'
'-x,y+1/2,-z'
'x,-y+1/2,z'
loop_
_atom_site_label
_atom_site_type_symbol
_atom_site_fract_x
_atom_site_fract_y
_atom_site_fract_z
Gd1 Gd 0.122 0.250 0.239
Gd2 Gd 0.146 0.250 0.574
Ti1 Ti 0.145 0.250 0.916
O1 O 0.082 0.750 0.147
O2 O 0.111 0.750 0.671
O3 O 0.113 0.750 0.954
O4 O 0.142 0.750 0.487
O5 O 0.229 0.750 0.319
```

Main lines, by intensity (2θ = 10–90°):
- hkl 2 0 3, 28.9°, I = 100.0
- hkl 0 1 3, 29.8°, I = 91.2
- hkl 2 1 6, 48.9°, I = 52.0
- hkl 2 1 0, 34.0°, I = 42.7
- hkl 2 2 3, 58.7°, I = 26.5
- hkl 4 1 3, 57.2°, I = 24.9

---

Record 2
CdW2Cl8: theoretical powder diffractogram (Cu Kα (λ = 1.5418 Å)), based on a crystal structure in Alexandria, relaxed with PBE.

Atomic structure:
```
data_CdW2Cl8
_chemical_formula_sum 'Cd2 W4 Cl16'
_symmetry_space_group_name_H-M 'C 1 2/m 1'
_symmetry_Int_Tables_number 12
_cell_length_a 14.384
_cell_length_b 7.506
_cell_length_c 9.151
_cell_angle_alpha 90.00
_cell_angle_beta 110.81
_cell_angle_gamma 90.00
loop_
_symmetry_equiv_pos_as_xyz
'x,y,z'
'-x,-y,-z'
'-x,y,-z'
'x,-y,z'
'x+1/2,y+1/2,z'
'-x+1/2,-y+1/2,-z'
'-x+1/2,y+1/2,-z'
'x+1/2,-y+1/2,z'
loop_
_atom_site_label
_atom_site_type_symbol
_atom_site_fract_x
_atom_site_fract_y
_atom_site_fract_z
Cd1 Cd 0.000 0.000 0.000
W1 W 0.212 0.000 0.694
Cl1 Cl 0.121 0.500 0.185
Cl2 Cl 0.144 0.239 0.765
Cl3 Cl 0.174 0.000 0.433
```

Main lines, by intensity (2θ = 10–90°):
- hkl 1 1 -1, 15.5°, I = 100.0
- hkl 1 1 1, 18.4°, I = 96.6
- hkl 3 1 -1, 22.3°, I = 94.4
- hkl 2 0 1, 19.5°, I = 62.5
- hkl 2 0 0, 13.2°, I = 54.6
- hkl 2 0 -2, 20.3°, I = 52.1

---

Record 3
Ti2CuPd4: theoretical powder diffractogram (Cu Kα (λ = 1.5418 Å)), based on a crystal structure in Alexandria, relaxed with PBE.

Atomic structure:
```
data_Ti2CuPd4
_chemical_formula_sum 'Ti4 Cu2 Pd8'
_symmetry_space_group_name_H-M 'P 1 21/m 1'
_symmetry_Int_Tables_number 11
_cell_length_a 6.517
_cell_length_b 5.137
_cell_length_c 7.303
_cell_angle_alpha 90.00
_cell_angle_beta 116.35
_cell_angle_gamma 90.00
loop_
_symmetry_equiv_pos_as_xyz
'x,y,z'
'-x,-y,-z'
'-x,y+1/2,-z'
'x,-y+1/2,z'
loop_
_atom_site_label
_atom_site_type_symbol
_atom_site_fract_x
_atom_site_fract_y
_atom_site_fract_z
Ti1 Ti 0.159 0.250 0.055
Ti2 Ti 0.304 0.250 0.520
Cu1 Cu 0.251 0.750 0.286
Pd1 Pd 0.090 0.504 0.724
Pd2 Pd 0.441 0.750 0.677
Pd3 Pd 0.460 0.750 0.071
```

Main lines, by intensity (2θ = 10–90°):
- hkl 1 2 0, 38.3°, I = 100.0
- hkl 1 1 2, 41.1°, I = 76.1
- hkl 2 2 -1, 44.9°, I = 62.1
- hkl 3 0 -1, 42.2°, I = 56.9
- hkl 2 1 -2, 35.4°, I = 37.0
- hkl 2 1 -3, 43.0°, I = 35.9

---

Record 4
HoTm4Pb: theoretical powder diffractogram (Cu Kα (λ = 1.5418 Å)), based on a crystal structure in Alexandria, relaxed with PBE.

Atomic structure:
```
data_HoTm4Pb
_chemical_formula_sum 'Ho4 Tm16 Pb4'
_symmetry_space_group_name_H-M 'C m c 21'
_symmetry_Int_Tables_number 36
_cell_length_a 5.253
_cell_length_b 22.476
_cell_length_c 6.706
_cell_angle_alpha 90.00
_cell_angle_beta 90.00
_cell_angle_gamma 90.00
loop_
_symmetry_equiv_pos_as_xyz
'x,y,z'
'-x,-y,z+1/2'
'-x,y,z'
'x,-y,z+1/2'
'x+1/2,y+1/2,z'
'-x+1/2,-y+1/2,z+1/2'
'-x+1/2,y+1/2,z'
'x+1/2,-y+1/2,z+1/2'
loop_
_atom_site_label
_atom_site_type_symbol
_atom_site_fract_x
_atom_site_fract_y
_atom_site_fract_z
Ho1 Ho 0.000 0.143 0.000
Tm1 Tm 0.000 0.146 0.504
Tm2 Tm 0.000 0.287 0.754
Tm3 Tm 0.000 0.289 0.253
Tm4 Tm 0.000 0.440 0.243
Pb1 Pb 0.000 0.425 0.747
```

Main lines, by intensity (2θ = 10–90°):
- hkl 1 7 0, 32.7°, I = 100.0
- hkl 1 1 2, 31.9°, I = 83.4
- hkl 2 0 0, 34.1°, I = 46.9
- hkl 1 3 2, 33.9°, I = 31.6
- hkl 1 7 4, 65.2°, I = 27.5
- hkl 0 6 2, 35.9°, I = 24.6